No. 1
This entry pairs a crystal structure of Pr2MgIrO6 with its theoretical PXRD pattern. Radiation: Cu Kα (weighted mean of Kα1 and Kα2). Structure: a structure optimized by DFT (PBE).
No peak broadening, texture or thermal motion is included.

Structural model:
a = 5.547 Å, b = 5.730 Å, c = 9.649 Å
α = 90.00°, β = 125.02°, γ = 90.00°
Fractional positions:
1 Pr 0.237 0.055 0.251
2 Pr 0.237 0.445 0.751
3 Pr 0.763 0.555 0.249
4 Pr 0.763 0.945 0.749
5 Mg 0.500 0.000 0.000
6 Mg 0.500 0.500 0.500
7 Ir 0.000 0.000 0.500
8 Ir 0.000 0.500 0.000
9 O 0.150 0.207 0.952
10 O 0.150 0.293 0.452
11 O 0.248 0.703 0.952
12 O 0.248 0.797 0.452
13 O 0.339 0.027 0.748
14 O 0.339 0.473 0.248
15 O 0.661 0.527 0.752
16 O 0.661 0.973 0.252
17 O 0.752 0.203 0.548
18 O 0.752 0.297 0.048
19 O 0.850 0.707 0.548
20 O 0.850 0.793 0.048

Peak list (10 most intense, 2θ from 5° to 70°, by angle)
- 19.1°, intensity 23
- 19.5°, intensity 22
- 31.2°, intensity 22
- 31.9°, intensity 100
- 32.3°, intensity 25
- 37.8°, intensity 15
- 45.5°, intensity 22
- 45.9°, intensity 14
- 56.0°, intensity 12
- 57.3°, intensity 23

No. 2
This entry pairs a crystal structure of Er5Rh3 with its theoretical PXRD pattern. Radiation: Cu Kα (weighted mean of Kα1 and Kα2). Structure: a structure optimized by DFT (PBE).
No peak broadening, texture or thermal motion is included.

Structural model:
a = 8.185 Å, b = 8.185 Å, c = 6.259 Å
α = 90.00°, β = 90.00°, γ = 120.00°
Fractional positions:
1 Er 0.000 0.248 0.250
2 Er 0.000 0.752 0.750
3 Er 0.248 0.000 0.250
4 Er 0.248 0.248 0.750
5 Er 0.333 0.667 0.000
6 Er 0.333 0.667 0.500
7 Er 0.667 0.333 0.000
8 Er 0.667 0.333 0.500
9 Er 0.752 0.000 0.750
10 Er 0.752 0.752 0.250
11 Rh 0.000 0.399 0.750
12 Rh 0.000 0.601 0.250
13 Rh 0.399 0.000 0.750
14 Rh 0.399 0.399 0.250
15 Rh 0.601 0.000 0.250
16 Rh 0.601 0.601 0.750

Peak list (10 most intense, 2θ from 5° to 70°, by angle)
- 28.5°, intensity 17
- 31.2°, intensity 25
- 33.4°, intensity 35
- 36.1°, intensity 91
- 36.5°, intensity 100
- 38.1°, intensity 43
- 53.5°, intensity 20
- 55.9°, intensity 29
- 58.7°, intensity 12
- 60.0°, intensity 19

No. 3
This entry pairs a crystal structure of Ba2ZrO4 with its theoretical PXRD pattern. Radiation: Cu Kα (weighted mean of Kα1 and Kα2). Structure: a structure optimized by DFT (PBE).
No peak broadening, texture or thermal motion is included.

Structural model:
a = 7.445 Å, b = 7.445 Å, c = 7.445 Å
α = 146.84°, β = 146.84°, γ = 47.60°
Fractional positions:
1 Ba 0.147 0.147 0.000
2 Ba 0.853 0.853 0.000
3 Zr 0.500 0.500 0.000
4 O 0.000 0.500 0.500
5 O 0.343 0.343 0.000
6 O 0.500 0.000 0.500
7 O 0.657 0.657 0.000

Peak list (10 most intense, 2θ from 5° to 70°, by angle)
- 28.8°, intensity 100
- 29.7°, intensity 63
- 39.7°, intensity 14
- 40.0°, intensity 15
- 42.6°, intensity 32
- 50.4°, intensity 18
- 52.2°, intensity 39
- 59.6°, intensity 15
- 61.8°, intensity 10
- 69.5°, intensity 8

No. 4
This entry pairs a crystal structure of Cs3Nb2AsSe11 with its theoretical PXRD pattern. Radiation: Cu Kα (weighted mean of Kα1 and Kα2). Structure: a structure optimized by DFT (PBE).
No peak broadening, texture or thermal motion is included.

Structural model:
a = 10.621 Å, b = 10.621 Å, c = 10.435 Å
α = 95.32°, β = 95.32°, γ = 85.08°
Fractional positions:
1 Cs 0.068 0.932 0.500
2 Cs 0.314 0.468 0.742
3 Cs 0.468 0.314 0.242
4 Cs 0.672 0.826 0.329
5 Cs 0.826 0.672 0.829
6 Cs 0.932 0.068 0.000
7 Nb 0.032 0.571 0.227
8 Nb 0.321 0.918 0.913
9 Nb 0.571 0.032 0.727
10 Nb 0.918 0.321 0.413
11 As 0.365 0.701 0.169
12 As 0.701 0.365 0.669
13 Se 0.004 0.581 0.477
14 Se 0.097 0.300 0.254
15 Se 0.143 0.807 0.832
16 Se 0.156 0.250 0.470
17 Se 0.212 0.600 0.411
18 Se 0.220 0.549 0.071
19 Se 0.250 0.156 0.970
20 Se 0.284 0.920 0.161
21 Se 0.300 0.097 0.754
22 Se 0.421 0.937 0.533
23 Se 0.463 0.811 0.715
24 Se 0.491 0.724 0.985
25 Se 0.549 0.220 0.571
26 Se 0.581 0.004 0.977
27 Se 0.600 0.212 0.911
28 Se 0.724 0.491 0.485
29 Se 0.777 0.956 0.671
30 Se 0.807 0.143 0.332
31 Se 0.811 0.463 0.215
32 Se 0.920 0.284 0.661
33 Se 0.937 0.421 0.033
34 Se 0.956 0.777 0.171

Peak list (10 most intense, 2θ from 5° to 70°, by angle)
- 12.5°, intensity 79
- 18.2°, intensity 32
- 26.1°, intensity 37
- 26.5°, intensity 37
- 28.3°, intensity 100
- 28.4°, intensity 44
- 28.7°, intensity 46
- 29.4°, intensity 38
- 31.7°, intensity 34
- 36.9°, intensity 36

No. 5
This entry pairs a crystal structure of LiMg3 with its theoretical PXRD pattern. Radiation: Cu Kα (weighted mean of Kα1 and Kα2). Structure: a structure optimized by DFT (PBE).
No peak broadening, texture or thermal motion is included.

Structural model:
a = 4.429 Å, b = 4.429 Å, c = 4.429 Å
α = 90.00°, β = 90.00°, γ = 90.00°
Fractional positions:
1 Li 0.000 0.000 0.000
2 Mg 0.000 0.500 0.500
3 Mg 0.500 0.000 0.500
4 Mg 0.500 0.500 0.000

Peak list (9 most intense, 2θ from 5° to 70°, by angle)
- 20.0°, intensity 20
- 28.5°, intensity 17
- 35.1°, intensity 100
- 40.7°, intensity 49
- 45.8°, intensity 9
- 50.5°, intensity 6
- 59.0°, intensity 31
- 63.0°, intensity 4
- 66.8°, intensity 3

No. 6
This entry pairs a crystal structure of TiCu2Te3 with its theoretical PXRD pattern. Radiation: Cu Kα (weighted mean of Kα1 and Kα2). Structure: a structure optimized by DFT (PBE).
No peak broadening, texture or thermal motion is included.

Structural model:
a = 10.178 Å, b = 10.178 Å, c = 7.161 Å
α = 96.39°, β = 96.39°, γ = 22.71°
Fractional positions:
1 Ti 0.146 0.146 0.061
2 Ti 0.854 0.854 0.939
3 Cu 0.213 0.213 0.427
4 Cu 0.455 0.455 0.847
5 Cu 0.545 0.545 0.153
6 Cu 0.787 0.787 0.573
7 Te 0.082 0.082 0.369
8 Te 0.252 0.252 0.792
9 Te 0.412 0.412 0.172
10 Te 0.588 0.588 0.828
11 Te 0.748 0.748 0.208
12 Te 0.918 0.918 0.631

Peak list (10 most intense, 2θ from 5° to 70°, by angle)
- 25.6°, intensity 54
- 26.2°, intensity 43
- 27.0°, intensity 100
- 28.2°, intensity 78
- 29.6°, intensity 99
- 34.4°, intensity 40
- 42.2°, intensity 38
- 44.2°, intensity 97
- 45.3°, intensity 59
- 47.6°, intensity 51

No. 7
This entry pairs a crystal structure of CsCdBr3 with its theoretical PXRD pattern. Radiation: Cu Kα (weighted mean of Kα1 and Kα2). Structure: a structure optimized by DFT (PBE).
No peak broadening, texture or thermal motion is included.

Structural model:
a = 7.877 Å, b = 7.877 Å, c = 6.919 Å
α = 90.00°, β = 90.00°, γ = 120.00°
Fractional positions:
1 Cs 0.333 0.667 0.250
2 Cs 0.667 0.333 0.750
3 Cd 0.000 0.000 0.000
4 Cd 0.000 0.000 0.500
5 Br 0.164 0.327 0.750
6 Br 0.164 0.836 0.750
7 Br 0.327 0.164 0.250
8 Br 0.673 0.836 0.750
9 Br 0.836 0.164 0.250
10 Br 0.836 0.673 0.250

Peak list (10 most intense, 2θ from 5° to 70°, by angle)
- 13.0°, intensity 30
- 22.6°, intensity 24
- 25.8°, intensity 15
- 28.9°, intensity 17
- 29.2°, intensity 100
- 37.0°, intensity 45
- 43.8°, intensity 14
- 46.1°, intensity 31
- 47.6°, intensity 25
- 55.5°, intensity 16

No. 8
This entry pairs a crystal structure of CeSe2 with its theoretical PXRD pattern. Radiation: Cu Kα (weighted mean of Kα1 and Kα2). Structure: a structure optimized by DFT (PBE).
No peak broadening, texture or thermal motion is included.

Structural model:
a = 19.905 Å, b = 19.905 Å, c = 19.905 Å
α = 151.94°, β = 151.94°, γ = 40.10°
Fractional positions:
1 Ce 0.060 0.182 0.622
2 Ce 0.188 0.310 0.378
3 Ce 0.190 0.068 0.378
4 Ce 0.560 0.438 0.378
5 Ce 0.562 0.440 0.622
6 Ce 0.690 0.812 0.622
7 Ce 0.818 0.940 0.378
8 Ce 0.932 0.810 0.622
9 Se 0.034 0.966 0.500
10 Se 0.052 0.052 0.000
11 Se 0.069 0.569 0.500
12 Se 0.086 0.125 0.461
13 Se 0.284 0.284 0.567
14 Se 0.319 0.319 0.000
15 Se 0.375 0.336 0.461
16 Se 0.431 0.931 0.500
17 Se 0.466 0.534 0.500
18 Se 0.664 0.625 0.539
19 Se 0.681 0.681 0.000
20 Se 0.698 0.198 0.500
21 Se 0.716 0.716 0.433
22 Se 0.802 0.302 0.500
23 Se 0.875 0.914 0.539
24 Se 0.948 0.948 0.000

Peak list (10 most intense, 2θ from 5° to 70°, by angle)
- 9.5°, intensity 14
- 11.6°, intensity 48
- 13.0°, intensity 100
- 15.0°, intensity 30
- 19.0°, intensity 19
- 23.8°, intensity 24
- 26.1°, intensity 15
- 35.6°, intensity 18
- 43.0°, intensity 19
- 46.3°, intensity 21